No. 1
# V3InF9
Calculated powder X-ray diffraction pattern, Cu Kα (λ = 1.5418 Å). Input: a crystal structure in Alexandria, relaxed with PBE+U.
Neutral-atom scattering factors, no anomalous dispersion.

Structure:
abc: 7.6625 7.6625 3.9726
angles: 90.00 90.00 120.00
Space group P6/mmm (No. 191)
Symmetry-distinct sites (fractional):
1 V 0.0000 0.5000 0.0000 x3
2 In 0.0000 0.0000 0.5000 x1
3 F 0.0000 0.5000 0.5000 x3
4 F 0.2019 0.4038 0.0000 x6

The 6 most intense peaks (2θ = 5–70°), sorted by position:
- 2θ 26.14, I = 68, hkl 1 0 1
- 2θ 26.87, I = 100, hkl 2 0 0
- 2θ 32.47, I = 46, hkl 1 1 1
- 2θ 47.46, I = 37, hkl 2 2 0
- 2θ 53.79, I = 26, hkl 2 0 2
- 2θ 67.99, I = 22, hkl 2 2 2



No. 2
# V2InF6
Calculated powder X-ray diffraction pattern, Cu Kα (λ = 1.5418 Å). Input: a crystal structure in Alexandria, relaxed with PBE+U.
Neutral-atom scattering factors, no anomalous dispersion.

Structure:
abc: 5.445 9.653 5.954
angles: 90.00 91.62 90.00
Space group C2 (No. 5)
Symmetry-distinct sites (fractional):
1 V 0.000 0.000 0.000 x2
2 V 0.000 0.330 0.000 x2
3 In 0.000 0.660 0.500 x2
4 F 0.126 0.174 0.817 x4
5 F 0.165 0.477 0.816 x4
6 F 0.195 0.849 0.816 x4

The 6 most intense peaks (2θ = 5–70°), sorted by position:
- 2θ 23.72, I = 100, hkl 1 1 -1
- 2θ 24.29, I = 48, hkl 1 1 1
- 2θ 32.32, I = 19, hkl 1 3 0
- 2θ 35.94, I = 13, hkl 2 0 -1
- 2θ 44.36, I = 31, hkl 1 3 -2
- 2θ 45.81, I = 16, hkl 2 0 2



No. 3
# V2InF
Calculated powder X-ray diffraction pattern, Cu Kα (λ = 1.5418 Å). Input: a crystal structure in Alexandria, relaxed with PBE+U.
Neutral-atom scattering factors, no anomalous dispersion.

Structure:
abc: 5.389 5.389 12.655
angles: 90.00 90.00 90.00
Space group I-42d (No. 122)
Symmetry-distinct sites (fractional):
1 V 0.040 0.750 0.125 x8
2 In 0.000 0.000 0.500 x4
3 F 0.000 0.000 0.000 x4

The 6 most intense peaks (2θ = 5–70°), sorted by position:
- 2θ 26.84, I = 74, hkl 1 0 3
- 2θ 27.32, I = 100, hkl 1 1 2
- 2θ 38.01, I = 60, hkl 2 1 1
- 2θ 39.33, I = 26, hkl 1 0 5
- 2θ 44.15, I = 28, hkl 2 0 4
- 2θ 56.37, I = 31, hkl 2 2 4



Copy entry 1 word for word.
# V3InF9
Calculated powder X-ray diffraction pattern, Cu Kα (λ = 1.5418 Å). Input: a crystal structure in Alexandria, relaxed with PBE+U.
Neutral-atom scattering factors, no anomalous dispersion.

Structure:
abc: 7.6625 7.6625 3.9726
angles: 90.00 90.00 120.00
Space group P6/mmm (No. 191)
Symmetry-distinct sites (fractional):
1 V 0.0000 0.5000 0.0000 x3
2 In 0.0000 0.0000 0.5000 x1
3 F 0.0000 0.5000 0.5000 x3
4 F 0.2019 0.4038 0.0000 x6

The 6 most intense peaks (2θ = 5–70°), sorted by position:
- 2θ 26.14, I = 68, hkl 1 0 1
- 2θ 26.87, I = 100, hkl 2 0 0
- 2θ 32.47, I = 46, hkl 1 1 1
- 2θ 47.46, I = 37, hkl 2 2 0
- 2θ 53.79, I = 26, hkl 2 0 2
- 2θ 67.99, I = 22, hkl 2 2 2